Simulated powder diffraction line list
Compound: CoSnC4Cl3O4
Radiation: Cu Kα (λ = 1.5418 Å)
Structure: a PBE+U-relaxed structure

Structural model:
abc: 6.570 6.570 6.570
angles: 100.00 100.00 100.00
Fractional coordinates of all 13 atoms:
Co 0.000 0.000 0.000
Sn 0.271 0.271 0.271
C 0.213 0.965 0.873
C 0.808 0.808 0.808
C 0.873 0.213 0.965
C 0.965 0.873 0.213
Cl 0.162 0.384 0.586
Cl 0.384 0.586 0.162
Cl 0.586 0.162 0.384
O 0.349 0.938 0.788
O 0.683 0.683 0.683
O 0.788 0.349 0.938
O 0.938 0.788 0.349

Main lines, by intensity (2θ = 15–90°):
| Position (°2θ) | d (Å) | I_rel |
| --- | --- | --- |
| 17.62 | 5.033 | 1000 |
| 28.78 | 3.102 | 352 |
| 47.81 | 1.902 | 313 |
| 30.77 | 2.906 | 307 |
| 34.25 | 2.618 | 274 |
| 33.46 | 2.678 | 265 |
| 22.58 | 3.939 | 255 |
| 48.27 | 1.885 | 245 |
| 29.14 | 3.065 | 218 |
| 35.68 | 2.516 | 169 |